Entry 1:
Calculated XRD peak list of Li4CrNi5P6O24 for Cu Kα, from a cell relaxed with GGA+U.
Lines closer than 0.1° are merged.

Main lines, low angle first (2θ = 10–90°):
d 4.398, 20.19°, I = 100, hkl 0 1 -1; d 3.688, 24.13°, I = 34, hkl 0 2 1; d 3.667, 24.27°, I = 33, hkl 1 0 2; d 3.648, 24.40°, I = 33, hkl 2 1 0; d 2.651, 33.82°, I = 29, hkl 2 3 1; d 2.539, 35.35°, I = 62, hkl -2 1 1

Cell and atoms:
Lattice parameters (Å, degrees): 8.3100 8.3871 8.3940 63.21 63.54 63.62
Fractional positions:
Li 0.0000 0.0000 0.0000
Li 0.1051 0.8774 0.5018
Li 0.2110 0.3743 0.4148
Li 0.6258 0.5836 0.7897
Cr 0.2130 0.5850 0.9999
Ni 0.0022 0.3792 0.7936
Ni 0.3669 0.7348 0.1436
Ni 0.4989 0.8761 0.2917
Ni 0.7157 0.0869 0.5017
Ni 0.8511 0.2339 0.6443
P 0.1065 0.1784 0.1965
P 0.3036 0.9796 0.6910
P 0.4134 0.4773 0.5930
P 0.6061 0.2786 0.0980
P 0.8007 0.7824 0.8971
P 0.9107 0.6853 0.3950
O 0.0360 0.2074 0.0433
O 0.1051 0.1340 0.7189
O 0.1130 0.6542 0.2392
O 0.1760 0.3390 0.1567
O 0.2563 0.4086 0.6218
O 0.2558 0.9795 0.2188
O 0.2846 0.8251 0.8945
O 0.3169 0.9134 0.5427
O 0.3719 0.5450 0.7550
O 0.4118 0.6425 0.4042
O 0.4534 0.4821 0.0727
O 0.4690 0.0378 0.6474
O 0.5323 0.1258 0.1348
O 0.6067 0.8049 0.0485
O 0.6089 0.3290 0.5773
O 0.6739 0.2456 0.2528
O 0.7481 0.7352 0.3302
O 0.7570 0.2998 0.8979
O 0.8097 0.9715 0.7353
O 0.8293 0.6275 0.8292
O 0.9018 0.8350 0.4569
O 0.9260 0.4855 0.5476
O 0.9610 0.1618 0.3968
O 0.9642 0.7392 0.9676

---

Entry 2:
Calculated XRD peak list of Li6Cr3NiP6O24 for Cu Kα, from a cell relaxed with GGA+U.
Lines closer than 0.1° are merged.

Main lines, low angle first (2θ = 10–90°):
d 4.374, 20.30°, I = 35, hkl 0 1 -1; d 4.242, 20.94°, I = 67, hkl 1 1 2; d 3.685, 24.15°, I = 100, hkl 0 1 2; d 3.673, 24.23°, I = 21, hkl 2 0 1; d 3.049, 29.29°, I = 25, hkl 0 2 2; d 2.693, 33.27°, I = 28, hkl 1 3 2

Cell and atoms:
Lattice parameters (Å, degrees): 8.4752 8.4950 8.5037 61.91 62.16 61.97
Fractional positions:
Li 0.0000 0.0000 0.0000
Li 0.0919 0.9326 0.5039
Li 0.1860 0.4505 0.3644
Li 0.3541 0.7898 0.1355
Li 0.5539 0.6390 0.8118
Li 0.8216 0.2987 0.6466
Cr 0.4757 0.9306 0.2897
Cr 0.6980 0.1501 0.5065
Cr 0.9795 0.4316 0.7961
Ni 0.1938 0.6404 0.0037
P 0.0881 0.2428 0.1989
P 0.2958 0.0384 0.6874
P 0.3874 0.5369 0.6031
P 0.5899 0.3256 0.1109
P 0.7861 0.8389 0.9029
P 0.8797 0.7520 0.4029
O 0.0264 0.2817 0.0383
O 0.0649 0.7428 0.2349
O 0.0985 0.1926 0.7262
O 0.1481 0.3958 0.1793
O 0.2234 0.4778 0.6441
O 0.2413 0.0437 0.2193
O 0.2948 0.8727 0.8759
O 0.3047 0.9881 0.5306
O 0.3733 0.5880 0.7603
O 0.3885 0.7045 0.4162
O 0.4269 0.5152 0.1098
O 0.4625 0.0996 0.6303
O 0.5333 0.1662 0.1413
O 0.5824 0.3774 0.5706
O 0.5948 0.8549 0.0605
O 0.6691 0.2751 0.2653
O 0.7054 0.7952 0.3617
O 0.7402 0.3606 0.9106
O 0.7739 0.0299 0.7342
O 0.8228 0.6775 0.8416
O 0.8598 0.9054 0.4685
O 0.9099 0.5514 0.5547
O 0.9325 0.2136 0.3977
O 0.9466 0.8152 0.9572